[1]
# LaGaSb2
Theoretical X-ray powder pattern, Cu Ka. Input: the PBE geometry in the Materials Project.
Peak positions follow from Bragg's law for the DFT cell and can differ from measured ones.

Principal peaks in the range 5 to 70 degrees two-theta, sorted by position:
25.3°, I = 12.6; 30.9°, I = 100.0; 33.9°, I = 21.0; 34.6°, I = 28.9; 37.2°, I = 10.1; 40.8°, I = 9.0; 40.9°, I = 11.6; 47.4°, I = 12.8; 59.1°, I = 10.7; 64.7°, I = 8.6; 68.1°, I = 8.4; 68.3°, I = 13.0

Structural model:
```
LaGaSb2
1.0
2.2064 -11.5603 0.0000
2.2064 11.5603 0.0000
0.0000 0.0000 4.4253
La Ga Sb
2 2 4
direct
0.1376 0.8624 0.7500
0.8624 0.1376 0.2500
0.1595 0.1595 0.0000
0.8405 0.8405 0.5000
0.2497 0.7503 0.2500
0.4103 0.5897 0.7500
0.5897 0.4103 0.2500
0.7503 0.2497 0.7500
```

=====

[2]
# Rb2YAuCl6
Theoretical X-ray powder pattern, Cu Ka. Input: the PBE geometry in the Materials Project.
Peak positions follow from Bragg's law for the DFT cell and can differ from measured ones.

Principal peaks in the range 5 to 70 degrees two-theta, sorted by position:
14.2°, I = 11.7; 16.4°, I = 27.6; 23.3°, I = 100.0; 27.4°, I = 10.4; 33.2°, I = 62.4; 37.3°, I = 13.8; 41.0°, I = 47.0; 47.7°, I = 42.8; 50.8°, I = 6.9; 53.7°, I = 21.8; 59.3°, I = 14.4; 64.6°, I = 25.1

Structural model:
```
Rb2YAuCl6
1.0
0.0000 5.3955 5.3955
5.3955 0.0000 5.3955
5.3955 5.3955 0.0000
Rb Y Au Cl
2 1 1 6
direct
0.2500 0.2500 0.2500
0.7500 0.7500 0.7500
0.0000 0.0000 0.0000
0.5000 0.5000 0.5000
0.2447 0.2447 0.7553
0.2447 0.7553 0.2447
0.2447 0.7553 0.7553
0.7553 0.2447 0.2447
0.7553 0.2447 0.7553
0.7553 0.7553 0.2447
```

=====

[3]
# Sr3CaCu4O8
Theoretical X-ray powder pattern, Cu Ka. Input: the PBE geometry in the Materials Project.
Peak positions follow from Bragg's law for the DFT cell and can differ from measured ones.

Principal peaks in the range 5 to 70 degrees two-theta, sorted by position:
5.6°, I = 12.7; 32.2°, I = 72.2; 34.7°, I = 100.0; 34.8°, I = 98.9; 41.8°, I = 8.3; 46.0°, I = 32.2; 46.3°, I = 31.4; 53.5°, I = 20.2; 58.9°, I = 40.4; 59.1°, I = 40.4; 63.8°, I = 21.2; 67.3°, I = 18.3

Structural model:
```
Sr3CaCu4O8
1.0
3.4240 0.0000 0.0000
0.0000 3.9479 0.0000
0.0000 0.0000 15.6848
Sr Ca Cu O
3 1 4 8
direct
0.0000 0.0000 0.0000
0.0000 0.0000 0.2517
0.0000 0.0000 0.7483
0.0000 0.0000 0.5000
0.5000 0.5000 0.1255
0.5000 0.5000 0.3772
0.5000 0.5000 0.6228
0.5000 0.5000 0.8745
0.5000 0.0000 0.1258
0.5000 0.0000 0.3822
0.5000 0.0000 0.6178
0.5000 0.0000 0.8742
0.5000 0.5000 0.0000
0.5000 0.5000 0.2517
0.5000 0.5000 0.5000
0.5000 0.5000 0.7483
```

=====

[4]
# NaLaHfSnO6
Theoretical X-ray powder pattern, Cu Ka. Input: the PBE geometry in the Materials Project.
Peak positions follow from Bragg's law for the DFT cell and can differ from measured ones.

Principal peaks in the range 5 to 70 degrees two-theta, sorted by position:
18.8°, I = 19.6; 21.7°, I = 19.4; 30.9°, I = 100.0; 36.4°, I = 11.1; 44.3°, I = 31.6; 48.5°, I = 5.0; 49.9°, I = 8.4; 55.0°, I = 41.1; 58.7°, I = 3.8; 64.4°, I = 19.6; 67.8°, I = 3.6; 68.9°, I = 4.0

Structural model:
```
NaLaHfSnO6
1.0
0.0000 4.0892 4.0892
4.0892 0.0000 4.0892
4.0892 4.0892 0.0000
Na La Hf Sn O
1 1 1 1 6
direct
0.0000 0.0000 0.0000
0.5000 0.5000 0.5000
0.7500 0.7500 0.7500
0.2500 0.2500 0.2500
0.0003 0.0003 0.4997
0.0003 0.4997 0.0003
0.0003 0.4997 0.4997
0.4997 0.0003 0.0003
0.4997 0.0003 0.4997
0.4997 0.4997 0.0003
```

=====

[5]
# Cs2TlHCl5
Theoretical X-ray powder pattern, Cu Ka. Input: the PBE geometry in the Materials Project.
Peak positions follow from Bragg's law for the DFT cell and can differ from measured ones.

Principal peaks in the range 5 to 70 degrees two-theta, sorted by position:
14.1°, I = 51.8; 14.4°, I = 55.5; 23.2°, I = 100.0; 23.5°, I = 20.1; 24.3°, I = 41.0; 29.1°, I = 24.1; 31.9°, I = 35.7; 34.0°, I = 31.9; 40.5°, I = 21.2; 42.1°, I = 25.9; 47.4°, I = 25.0; 51.9°, I = 16.2

Structural model:
```
Cs2TlHCl5
1.0
14.6604 0.0000 0.0000
0.0000 11.2092 0.0000
0.0000 0.0000 7.5712
Cs Tl H Cl
8 4 4 20
direct
0.1372 0.0026 0.1841
0.1372 0.4974 0.1841
0.3628 0.5026 0.6841
0.3628 0.9974 0.6841
0.6372 0.0026 0.3159
0.6372 0.4974 0.3159
0.8628 0.5026 0.8159
0.8628 0.9974 0.8159
0.1216 0.2500 0.7106
0.3784 0.7500 0.2106
0.6216 0.2500 0.7894
0.8784 0.7500 0.2894
0.0315 0.2500 0.5475
0.4685 0.7500 0.0475
0.5315 0.2500 0.9525
0.9685 0.7500 0.4525
0.0029 0.7500 0.0356
0.1078 0.0136 0.6897
0.1078 0.4864 0.6897
0.2293 0.2500 0.4303
0.2494 0.7500 0.4234
0.2506 0.2500 0.9234
0.2707 0.7500 0.9303
0.3922 0.5136 0.1897
0.3922 0.9864 0.1897
0.4971 0.2500 0.5356
0.5029 0.7500 0.4644
0.6078 0.0136 0.8103
0.6078 0.4864 0.8103
0.7293 0.2500 0.0697
0.7494 0.7500 0.0766
0.7506 0.2500 0.5766
0.7707 0.7500 0.5697
0.8922 0.5136 0.3103
0.8922 0.9864 0.3103
0.9971 0.2500 0.9644
```

=====

[6]
# Mg14ZrNi
Theoretical X-ray powder pattern, Cu Ka. Input: the PBE geometry in the Materials Project.
Peak positions follow from Bragg's law for the DFT cell and can differ from measured ones.

Principal peaks in the range 5 to 70 degrees two-theta, sorted by position:
16.2°, I = 27.6; 17.7°, I = 6.6; 24.1°, I = 15.3; 28.3°, I = 6.3; 32.8°, I = 27.4; 33.6°, I = 7.5; 35.9°, I = 24.2; 37.5°, I = 100.0; 47.6°, I = 7.9; 49.4°, I = 16.3; 58.5°, I = 16.9; 65.6°, I = 16.7

Structural model:
```
Mg14ZrNi
1.0
6.3139 0.0000 0.0000
-3.1570 5.4680 0.0000
0.0000 0.0000 9.9950
Mg Zr Ni
14 1 1
direct
0.0000 0.0000 0.2415
0.0000 0.0000 0.7585
0.0168 0.5084 0.2633
0.0168 0.5084 0.7367
0.3272 0.1636 0.5000
0.3449 0.1725 0.0000
0.4916 0.5084 0.2633
0.4916 0.5084 0.7367
0.4916 0.9832 0.2633
0.4916 0.9832 0.7367
0.8275 0.1725 0.0000
0.8275 0.6551 0.0000
0.8364 0.1636 0.5000
0.8364 0.6728 0.5000
0.3333 0.6667 0.0000
0.3333 0.6667 0.5000
```

=====

[7]
# Pd3F
Theoretical X-ray powder pattern, Cu Ka. Input: the PBE geometry in the Materials Project.
Peak positions follow from Bragg's law for the DFT cell and can differ from measured ones.

Principal peaks in the range 5 to 70 degrees two-theta, sorted by position:
25.0°, I = 16.8; 28.9°, I = 8.7; 41.3°, I = 100.0; 48.9°, I = 8.4; 51.2°, I = 2.5; 59.9°, I = 16.2; 65.9°, I = 3.5; 67.8°, I = 3.2

Structural model:
```
Pd3F
1.0
0.0000 3.0901 3.0901
3.0901 0.0000 3.0901
3.0901 3.0901 0.0000
Pd F
3 1
direct
0.0000 0.0000 0.0000
0.2500 0.2500 0.2500
0.7500 0.7500 0.7500
0.5000 0.5000 0.5000
```